The following is a computed XRD peak list of Nb4Fe2Si5. It was derived from a DFT-relaxed cell (GGA-PBE, Alexandria), using CuKα.
Peak positions follow from Bragg's law for the DFT cell and can differ from measured ones.

Atomic structure:
abc: 9.2904 9.2904 9.2904
angles: 129.48 60.43 149.05
Atoms (fractional coordinates):
Nb1 0.0631 0.7434 0.8065
Nb2 0.1421 0.1115 0.2536
Nb3 0.3579 0.6115 0.9694
Nb4 0.4369 0.2434 0.6802
Nb5 0.5631 0.7566 0.3198
Nb6 0.6421 0.3885 0.0306
Nb7 0.8579 0.8885 0.7464
Nb8 0.9369 0.2566 0.1935
Fe1 0.0547 0.7500 0.3047
Fe2 0.4453 0.7500 0.6953
Fe3 0.5547 0.2500 0.3047
Fe4 0.9453 0.2500 0.6953
Si1 0.0732 0.4194 0.4926
Si2 0.2197 0.7955 0.0152
Si3 0.2500 0.2500 0.0000
Si4 0.2803 0.2955 0.5757
Si5 0.4268 0.9194 0.3461
Si6 0.5732 0.0806 0.6539
Si7 0.7197 0.7045 0.4243
Si8 0.7500 0.7500 0.0000
Si9 0.7803 0.2045 0.9848
Si10 0.9268 0.5806 0.5074

Principal peaks in the range 15° ≤ 2θ ≤ 90°, low angle first:
- 30.80°, intensity 52.4
- 37.97°, intensity 37.8
- 39.94°, intensity 59.1
- 40.27°, intensity 100.0
- 40.47°, intensity 38.4
- 41.74°, intensity 56.4